# CeBiW2O9
Simulated X-ray diffraction stick pattern, copper Kα. Input: a cell relaxed with GGA+U.

Structure:
Cell: 7.2231 7.2231 13.8040 Å, 99.33 99.33 87.60°
Atoms (fractional coordinates):
Ce 0.1236 0.1692 0.1189
Ce 0.1692 0.1236 0.6189
Ce 0.8308 0.8764 0.3811
Ce 0.8764 0.8308 0.8811
Bi 0.3425 0.5232 0.8638
Bi 0.4768 0.6575 0.6362
Bi 0.5232 0.3425 0.3638
Bi 0.6575 0.4768 0.1362
W 0.0088 0.5853 0.6182
W 0.1693 0.6939 0.1335
W 0.3061 0.8307 0.3665
W 0.4147 0.9912 0.8818
W 0.5853 0.0088 0.1182
W 0.6939 0.1693 0.6335
W 0.8307 0.3061 0.8665
W 0.9912 0.4147 0.3818
O 0.9996 0.4930 0.8628
O 0.0004 0.5070 0.1372
O 0.0096 0.8338 0.0494
O 0.0843 0.6514 0.3692
O 0.1127 0.8873 0.2500
O 0.1368 0.2855 0.2967
O 0.1445 0.3952 0.5040
O 0.1662 0.9904 0.4506
O 0.1830 0.7841 0.6178
O 0.2159 0.8170 0.8822
O 0.2476 0.4821 0.6938
O 0.2855 0.1368 0.7967
O 0.3164 0.5497 0.0492
O 0.3486 0.9157 0.1308
O 0.3619 0.6381 0.2500
O 0.3952 0.1445 0.0040
O 0.4503 0.6836 0.4508
O 0.4821 0.2476 0.1938
O 0.4930 0.9996 0.3628
O 0.5070 0.0004 0.6372
O 0.5179 0.7524 0.8062
O 0.5497 0.3164 0.5492
O 0.6048 0.8555 0.9960
O 0.6381 0.3619 0.7500
O 0.6514 0.0843 0.8692
O 0.6836 0.4503 0.9508
O 0.7145 0.8632 0.2033
O 0.7524 0.5179 0.3062
O 0.7841 0.1830 0.1178
O 0.8170 0.2159 0.3822
O 0.8338 0.0096 0.5494
O 0.8555 0.6048 0.4960
O 0.8632 0.7145 0.7033
O 0.8873 0.1127 0.7500
O 0.9157 0.3486 0.6308
O 0.9904 0.1662 0.9506

Top 10 peaks for 2θ from 15° to 90°, sorted by position:
2theta	d_spacing	I (rel.)
26.4	3.376	75
26.5	3.363	100
26.9	3.318	24
27.2	3.282	65
29.4	3.035	63
30.2	2.962	43
32.1	2.791	21
37.8	2.380	21
44.2	2.049	21
45.8	1.983	27